# Ca3SnH2
Calculated powder diffractogram, CuKα. Input: a structure optimized by DFT (PBE).
Peak positions follow from Bragg's law for the DFT cell and can differ from measured ones.

```
Ca3SnH2
1.0
4.4361 -5.6935 0.0000
4.4361 5.6935 0.0000
0.0000 0.0000 5.2681
Ca Sn H
6 2 4
Cartesian
4.4361 4.4422 3.9511
2.6323 1.2617 3.9511
2.6323 -1.2617 1.3170
6.2399 1.2617 3.9511
6.2399 -1.2617 1.3170
4.4361 -4.4422 1.3170
4.4361 2.1908 1.3170
4.4361 -2.1908 3.9511
1.3395 0.0000 0.0000
1.3395 0.0000 2.6340
7.5328 0.0000 0.0000
7.5328 0.0000 2.6340
```

Main lines, most intense first (2θ = 10–90°):
d_spacing  I_rel
2.913  100
3.494  31
4.209  23
2.634  23
2.515  22
2.103  15